Record 1
For CaB4Pt6, a DFT-relaxed cell (PBE, the Materials Project) gives the computed powder XRD pattern in this record (Cu Kα X-rays).

```
CaB4Pt6
1.0
6.121 0.000 0.000
-3.061 5.301 0.000
0.000 0.000 5.355
Ca B Pt
1 4 6
Direct
0.000 0.000 0.000 Ca
0.333 0.667 0.566 B
0.333 0.667 0.932 B
0.667 0.333 0.068 B
0.667 0.333 0.434 B
0.031 0.516 0.250 Pt
0.484 0.516 0.250 Pt
0.484 0.969 0.250 Pt
0.516 0.031 0.750 Pt
0.516 0.484 0.750 Pt
0.969 0.484 0.750 Pt
```

Main lines, in order of rising 2θ (10° ≤ 2θ ≤ 90°):
d (Å)	Position (°2θ)	intensity
5.301	16.72	566
2.678	33.47	314
2.651	33.82	1000
2.390	37.64	205
1.884	48.32	671
1.195	80.35	176

=====

Record 2
For Gd3Sb4, a DFT-relaxed cell (PBE, the Materials Project) gives the computed powder XRD pattern in this record (Cu Kα X-rays).

```
Gd3Sb4
1.0
-4.636 4.636 4.636
4.636 -4.636 4.636
4.636 4.636 -4.636
Gd Sb
6 8
Direct
0.125 0.875 0.250 Gd
0.250 0.125 0.875 Gd
0.375 0.625 0.750 Gd
0.625 0.750 0.375 Gd
0.750 0.375 0.625 Gd
0.875 0.250 0.125 Gd
0.000 0.162 0.500 Sb
0.000 0.662 0.500 Sb
0.162 0.500 0.000 Sb
0.338 0.338 0.338 Sb
0.500 0.000 0.162 Sb
0.500 0.000 0.662 Sb
0.662 0.500 0.000 Sb
0.838 0.838 0.838 Sb
```

Main lines, in order of rising 2θ (10° ≤ 2θ ≤ 90°):
d (Å)	Position (°2θ)	intensity
2.932	30.48	1000
2.478	36.25	799
2.073	43.65	190
1.893	48.07	158
1.504	61.66	298
1.431	65.20	162

=====

Record 3
For NpTe, a DFT-relaxed cell (PBE, the Materials Project) gives the computed powder XRD pattern in this record (Cu Kα X-rays).

```
NpTe
1.0
6.220 0.000 0.000
0.000 6.220 0.000
0.000 0.000 6.220
Np Te
4 4
Direct
0.000 0.000 0.000 Np
0.000 0.500 0.500 Np
0.500 0.000 0.500 Np
0.500 0.500 0.000 Np
0.000 0.000 0.500 Te
0.000 0.500 0.000 Te
0.500 0.000 0.000 Te
0.500 0.500 0.500 Te
```

Main lines, in order of rising 2θ (10° ≤ 2θ ≤ 90°):
d (Å)	Position (°2θ)	intensity
3.591	24.79	167
3.110	28.70	1000
2.199	41.04	774
1.796	50.85	280
1.391	67.32	365
1.270	74.77	271

=====

Record 4
For Ce6P17Pd6, a DFT-relaxed cell (PBE, the Materials Project) gives the computed powder XRD pattern in this record (Cu Kα X-rays).

```
Ce6P17Pd6
1.0
-5.161 5.161 5.161
5.161 -5.161 5.161
5.161 5.161 -5.161
Ce P Pd
6 17 6
Direct
0.000 0.283 0.283 Ce
0.000 0.717 0.717 Ce
0.283 0.000 0.283 Ce
0.283 0.283 0.000 Ce
0.717 0.000 0.717 Ce
0.717 0.717 0.000 Ce
0.000 0.000 0.000 P
0.000 0.000 0.422 P
0.000 0.214 0.639 P
0.000 0.422 0.000 P
0.000 0.639 0.214 P
0.214 0.000 0.639 P
0.214 0.639 0.000 P
0.361 0.361 0.574 P
0.361 0.574 0.361 P
0.422 0.000 0.000 P
0.426 0.786 0.786 P
0.574 0.361 0.361 P
0.578 0.578 0.578 P
0.639 0.000 0.214 P
0.639 0.214 0.000 P
0.786 0.426 0.786 P
0.786 0.786 0.426 P
0.250 0.500 0.750 Pd
0.250 0.750 0.500 Pd
0.500 0.250 0.750 Pd
0.500 0.750 0.250 Pd
0.750 0.250 0.500 Pd
0.750 0.500 0.250 Pd
```

Main lines, in order of rising 2θ (10° ≤ 2θ ≤ 90°):
d (Å)	Position (°2θ)	intensity
2.980	29.99	1000
2.580	34.77	784
2.433	36.95	264
2.107	42.93	211
1.825	49.99	405
1.556	59.40	426

=====

Record 5
For Si, a DFT-relaxed cell (PBE, the Materials Project) gives the computed powder XRD pattern in this record (Cu Kα X-rays).

```
Si
1.0
3.353 0.000 0.000
0.000 3.353 0.000
0.000 0.000 2.575
Si
2
Direct
0.000 0.000 0.000 Si
0.500 0.500 0.500 Si
```

Main lines, in order of rising 2θ (10° ≤ 2θ ≤ 90°):
d (Å)	Position (°2θ)	intensity
2.371	37.95	800
2.043	44.35	1000
1.677	54.75	263
1.296	73.01	454
1.186	81.12	87
1.132	85.89	152

=====

Record 6
For LiCuS, a DFT-relaxed cell (PBE, the Materials Project) gives the computed powder XRD pattern in this record (Cu Kα X-rays).

```
LiCuS
1.0
0.000 4.302 5.518
4.274 0.000 5.518
4.274 4.302 0.000
Li Cu S
4 4 4
Direct
0.014 0.014 0.736 Li
0.264 0.264 0.986 Li
0.736 0.736 0.014 Li
0.986 0.986 0.264 Li
0.000 0.500 0.500 Cu
0.500 0.000 0.500 Cu
0.500 0.500 0.000 Cu
0.500 0.500 0.500 Cu
0.105 0.645 0.105 S
0.355 0.895 0.355 S
0.645 0.105 0.645 S
0.895 0.355 0.895 S
```

Main lines, in order of rising 2θ (10° ≤ 2θ ≤ 90°):
d (Å)	Position (°2θ)	intensity
5.315	16.68	974
3.145	28.37	393
2.657	33.73	1000
2.627	34.13	322
2.187	41.29	251
1.690	54.29	277

=====

Record 7
For HoTaTiO6, a DFT-relaxed cell (PBE, the Materials Project) gives the computed powder XRD pattern in this record (Cu Kα X-rays).

```
HoTaTiO6
1.0
5.228 0.000 0.000
0.000 14.688 0.000
-0.032 0.000 5.632
Ho Ta Ti O
4 4 4 24
Direct
0.247 0.000 0.231 Ho
0.247 0.500 0.731 Ho
0.753 0.000 0.769 Ho
0.753 0.500 0.269 Ho
0.326 0.168 0.675 Ta
0.326 0.332 0.175 Ta
0.674 0.668 0.825 Ta
0.674 0.832 0.325 Ta
0.178 0.665 0.184 Ti
0.178 0.835 0.684 Ti
0.822 0.165 0.316 Ti
0.822 0.335 0.816 Ti
0.033 0.092 0.564 O
0.033 0.408 0.064 O
0.082 0.586 0.407 O
0.082 0.914 0.907 O
0.155 0.238 0.364 O
0.155 0.262 0.864 O
0.349 0.741 0.857 O
0.349 0.759 0.357 O
0.419 0.084 0.909 O
0.419 0.416 0.409 O
0.465 0.592 0.067 O
0.465 0.908 0.567 O
0.535 0.092 0.433 O
0.535 0.408 0.933 O
0.581 0.584 0.591 O
0.581 0.916 0.091 O
0.651 0.241 0.643 O
0.651 0.259 0.143 O
0.845 0.738 0.136 O
0.845 0.762 0.636 O
0.918 0.086 0.093 O
0.918 0.414 0.593 O
0.967 0.592 0.936 O
0.967 0.908 0.436 O
```

Main lines, in order of rising 2θ (10° ≤ 2θ ≤ 90°):
d (Å)	Position (°2θ)	intensity
4.925	18.01	242
3.695	24.08	238
3.023	29.55	716
3.012	29.66	1000
2.816	31.78	215
1.501	61.79	234

=====

Record 8
For Ca2SiSe4, a DFT-relaxed cell (PBE, the Materials Project) gives the computed powder XRD pattern in this record (Cu Kα X-rays).

```
Ca2SiSe4
1.0
14.449 0.000 0.000
0.000 8.583 0.000
0.000 0.000 6.597
Ca Si Se
8 4 16
Direct
0.000 0.000 0.000 Ca
0.000 0.500 0.000 Ca
0.231 0.250 0.489 Ca
0.269 0.750 0.989 Ca
0.500 0.000 0.500 Ca
0.500 0.500 0.500 Ca
0.731 0.250 0.011 Ca
0.769 0.750 0.511 Ca
0.090 0.750 0.403 Si
0.410 0.250 0.903 Si
0.590 0.750 0.097 Si
0.910 0.250 0.597 Si
0.059 0.250 0.728 Se
0.093 0.750 0.749 Se
0.165 0.538 0.262 Se
0.165 0.962 0.262 Se
0.335 0.038 0.762 Se
0.335 0.462 0.762 Se
0.407 0.250 0.249 Se
0.441 0.750 0.228 Se
0.559 0.250 0.772 Se
0.593 0.750 0.751 Se
0.665 0.538 0.238 Se
0.665 0.962 0.238 Se
0.835 0.038 0.738 Se
0.835 0.462 0.738 Se
0.907 0.250 0.251 Se
0.941 0.750 0.272 Se
```

Main lines, in order of rising 2θ (10° ≤ 2θ ≤ 90°):
d (Å)	Position (°2θ)	intensity
3.298	27.03	229
3.220	27.70	1000
3.168	28.16	579
2.459	36.54	468
2.100	43.07	351
1.889	48.17	279